Entry 1:
Structure and calculated powder X-ray diffraction pattern of La2NpF11 (a structure optimized by DFT (PBE); Cu Kα, 1.54184 Å).
Kinematic intensities with the Lorentz-polarization factor, no thermal factor.

Top 6 peaks for 10 to 80 degrees two-theta, in order of rising 2θ:
| two_theta | d (Å) | intensity | hkl |
| --- | --- | --- | --- |
| 13.2 | 6.720 | 43 | 1 1 0 |
| 20.5 | 4.327 | 100 | 1 1 2 |
| 22.8 | 3.904 | 60 | 0 2 2 |
| 23.6 | 3.763 | 32 | 2 1 1 |
| 42.0 | 2.152 | 25 | 1 3 4 |
| 43.4 | 2.083 | 29 | 3 3 2 |

Structure:
```
data_La2NpF11
_chemical_formula_sum 'La8 Np4 F44'
_cell_length_a 8.590
_cell_length_b 10.789
_cell_length_c 11.312
_cell_angle_alpha 90.00
_cell_angle_beta 90.00
_cell_angle_gamma 90.00
_symmetry_space_group_name_H-M 'I b a m'
_symmetry_Int_Tables_number 72
_symmetry_space_group_name_Hall '-I 2 2c'
loop_
_atom_site_label
_atom_site_type_symbol
_atom_site_fract_x
_atom_site_fract_y
_atom_site_fract_z
_atom_site_occupancy
La1 La 0.139 0.183 0.000 1
Np1 Np 0.000 0.500 0.250 1
F1 F 0.000 0.000 0.000 1
F2 F 0.093 0.334 0.155 1
F3 F 0.125 0.223 0.500 1
F4 F 0.191 0.440 0.362 1
```


Entry 2:
Structure and calculated powder X-ray diffraction pattern of La2OF (a structure optimized by DFT (PBE); Cu Kα, 1.54184 Å).
Kinematic intensities with the Lorentz-polarization factor, no thermal factor.

Top 6 peaks for 10 to 80 degrees two-theta, in order of rising 2θ:
| two_theta | d (Å) | intensity | hkl |
| --- | --- | --- | --- |
| 26.8 | 3.329 | 100 | 1 1 2 |
| 30.9 | 2.895 | 24 | 2 0 0 |
| 44.2 | 2.047 | 15 | 2 2 0 |
| 44.5 | 2.034 | 31 | 2 0 4 |
| 52.5 | 1.744 | 28 | 3 1 2 |
| 53.0 | 1.728 | 15 | 1 1 6 |

Structure:
```
data_La2OF
_chemical_formula_sum 'La8 O4 F4'
_cell_length_a 5.791
_cell_length_b 5.791
_cell_length_c 11.434
_cell_angle_alpha 90.00
_cell_angle_beta 90.00
_cell_angle_gamma 90.00
_symmetry_space_group_name_H-M 'I -4 2 d'
_symmetry_Int_Tables_number 122
_symmetry_space_group_name_Hall 'I -4 2bw'
loop_
_atom_site_label
_atom_site_type_symbol
_atom_site_fract_x
_atom_site_fract_y
_atom_site_fract_z
_atom_site_occupancy
La1 La 0.224 0.250 0.125 1
O1 O 0.000 0.000 0.000 1
F1 F 0.000 0.000 0.500 1
```


Entry 3:
Structure and calculated powder X-ray diffraction pattern of LaOsOF2 (a structure optimized by DFT (PBE); Cu Kα, 1.54184 Å).
Kinematic intensities with the Lorentz-polarization factor, no thermal factor.

Top 6 peaks for 10 to 80 degrees two-theta, in order of rising 2θ:
| two_theta | d (Å) | intensity | hkl |
| --- | --- | --- | --- |
| 26.9 | 3.309 | 67 | 1 1 0 |
| 30.6 | 2.918 | 100 | 1 0 1 |
| 38.5 | 2.340 | 42 | 2 0 0 |
| 50.0 | 1.825 | 53 | 2 1 1 |
| 56.6 | 1.625 | 18 | 1 1 2 |
| 63.8 | 1.459 | 18 | 2 0 2 |

Structure:
```
data_LaOsOF2
_chemical_formula_sum 'La1 Os1 O1 F2'
_cell_length_a 4.680
_cell_length_b 4.680
_cell_length_c 3.731
_cell_angle_alpha 90.00
_cell_angle_beta 90.00
_cell_angle_gamma 90.00
_symmetry_space_group_name_H-M 'P 4/m m m'
_symmetry_Int_Tables_number 123
_symmetry_space_group_name_Hall '-P 4 2'
loop_
_atom_site_label
_atom_site_type_symbol
_atom_site_fract_x
_atom_site_fract_y
_atom_site_fract_z
_atom_site_occupancy
La1 La 0.000 0.000 0.000 1
Os1 Os 0.500 0.500 0.500 1
O1 O 0.500 0.500 0.000 1
F1 F 0.000 0.500 0.500 1
```